Entry 1:
The following is a simulated powder diffractogram of Ce4OsPb. It was derived from DFT lattice parameters and positions (GGA-PBE), using Cu Kα.
Intensities are scaled so that the largest is 100.

Atomic structure:
```
Ce4OsPb
1.0
4.113 -7.057 0.000
4.113 7.057 0.000
-2.060 0.000 5.509
Ce Os Pb
8 2 2
Direct
0.100 0.723 0.910
0.203 0.358 0.653
0.277 0.900 0.590
0.358 0.203 0.153
0.642 0.797 0.847
0.723 0.100 0.410
0.797 0.642 0.347
0.900 0.277 0.090
0.016 0.984 0.250
0.984 0.016 0.750
0.378 0.622 0.250
0.622 0.378 0.750
```

Principal peaks in the range 10° ≤ 2θ ≤ 80°, in order of rising 2θ:
2θ/deg  I/Imax
12.5  25.2
29.8  54.6
30.1  52.6
31.1  24.1
33.5  59.3
33.8  75.8
35.1  100.0
36.0  46.3
43.4  35.6
45.2  35.9

***

Entry 2:
The following is a simulated powder diffractogram of Ce5OsPb5. It was derived from DFT lattice parameters and positions (GGA-PBE), using Cu Kα.
Intensities are scaled so that the largest is 100.

Atomic structure:
```
Ce5OsPb5
1.0
9.167 -2.837 0.000
9.167 2.837 0.000
-2.408 0.000 6.205
Ce Os Pb
5 1 5
Direct
0.000 0.000 0.000
0.351 0.351 0.066
0.351 0.351 0.636
0.649 0.649 0.364
0.649 0.649 0.934
0.500 0.500 0.000
0.141 0.141 0.641
0.192 0.192 0.192
0.500 0.500 0.500
0.808 0.808 0.808
0.859 0.859 0.359
```

Principal peaks in the range 10° ≤ 2θ ≤ 80°, in order of rising 2θ:
2θ/deg  I/Imax
22.1  14.3
26.8  16.6
29.4  49.2
31.4  32.6
31.5  69.2
35.0  100.0
45.1  25.0
58.0  10.8
58.4  23.4
65.0  14.9

***

Entry 3:
The following is a simulated powder diffractogram of Ce8OsPb3. It was derived from DFT lattice parameters and positions (GGA-PBE), using Cu Kα.
Intensities are scaled so that the largest is 100.

Atomic structure:
```
Ce8OsPb3
1.0
5.570 -5.887 0.000
5.570 5.887 0.000
-3.691 0.000 5.567
Ce Os Pb
8 1 3
Direct
0.000 0.000 0.000
0.036 0.036 0.461
0.194 0.715 0.672
0.311 0.311 0.950
0.455 0.770 0.500
0.647 0.647 0.038
0.715 0.194 0.672
0.770 0.455 0.500
0.812 0.812 0.522
0.053 0.607 0.064
0.346 0.346 0.482
0.607 0.053 0.064
```

Principal peaks in the range 10° ≤ 2θ ≤ 80°, in order of rising 2θ:
2θ/deg  I/Imax
22.6  63.5
30.4  91.7
30.8  42.1
32.2  80.8
33.2  71.1
34.0  52.7
34.8  77.1
35.7  50.9
36.1  100.0
37.0  48.3

***

Entry 4:
The following is a simulated powder diffractogram of CePuOsPb. It was derived from DFT lattice parameters and positions (GGA-PBE), using Cu Kα.
Intensities are scaled so that the largest is 100.

Atomic structure:
```
CePuOsPb
1.0
3.307 0.000 0.000
0.000 3.307 0.000
0.000 0.000 8.915
Ce Pu Os Pb
1 1 1 1
Direct
0.000 0.000 0.000
0.000 0.000 0.598
0.500 0.500 0.798
0.500 0.500 0.302
```

Principal peaks in the range 10° ≤ 2θ ≤ 80°, in order of rising 2θ:
2θ/deg  I/Imax
28.8  7.5
30.1  7.0
33.7  100.0
38.5  42.1
40.5  8.7
40.8  10.1
49.6  7.2
55.6  14.8
57.1  12.9
66.6  28.9